Calculated powder diffraction line list of LiAcWO6 for CuKα, from a crystal structure in Alexandria, relaxed with PBE+U.
Neutral-atom scattering factors, no anomalous dispersion.

Largest 10 diffraction maxima, by angle, 10° ≤ 2θ ≤ 90°:
two_theta, d_spacing, Rel. int.
17.72, 5.004, 37
19.17, 4.630, 56
24.10, 3.692, 100
30.08, 2.971, 44
31.83, 2.811, 76
34.35, 2.611, 25
38.91, 2.315, 23
47.53, 1.913, 63
60.95, 1.520, 32
81.22, 1.184, 19

Structure:
a b c (Å): 5.222 5.222 10.009
angles (deg): 90.00 90.00 90.00
Space group P4_2nm (No. 102)
One atom of each set of equivalent atoms:
Li  0.000  0.000  0.000 [2 per cell]
Ac  0.000  0.000  0.335 [2 per cell]
W  0.000  0.000  0.697 [2 per cell]
O  0.174  0.174  0.835 [4 per cell]
O  0.193  0.193  0.552 [4 per cell]
O  0.244  0.244  0.158 [4 per cell]